Record 1
Diffraction record for CeIn6Ni6. The X-ray diffraction stick pattern is simulated, not measured: it uses the GGA-PBE geometry in Alexandria and copper Kα.

Cell lengths 5.3072, 9.0656, 9.2645 Å; angles 90.00, 90.00, 90.00 degrees
Space group Immm (No. 71)
One atom of each set of equivalent atoms:
1 Ce 0.0000 0.0000 0.0000 (multiplicity 2)
2 In 0.0000 0.0000 0.3431 (multiplicity 4)
3 In 0.0000 0.3339 0.0000 (multiplicity 4)
4 In 0.0000 0.5000 0.3171 (multiplicity 4)
5 Ni 0.0000 0.2649 0.5000 (multiplicity 4)
6 Ni 0.2500 0.2500 0.2500 (multiplicity 8)

Principal peaks in the range 2θ from 15° to 90°, by angle:
33.57°, I = 74.0, hkl 1 0 3
33.78°, I = 38.0, hkl 2 0 0
34.14°, I = 24.5, hkl 1 3 0
39.15°, I = 100.0, hkl 1 2 3
39.40°, I = 82.4, hkl 2 2 0
39.77°, I = 36.2, hkl 0 4 0
43.89°, I = 24.2, hkl 0 2 4
44.11°, I = 52.6, hkl 2 2 2
44.54°, I = 23.7, hkl 0 4 2
71.79°, I = 27.8, hkl 1 6 3



Record 2
Diffraction record for TaNi4Ir2. The X-ray diffraction stick pattern is simulated, not measured: it uses the GGA-PBE geometry in Alexandria and copper Kα.

Cell lengths 8.6271, 4.8189, 8.8838 Å; angles 90.00, 90.00, 90.00 degrees
Space group Cmce (No. 64)
One atom of each set of equivalent atoms:
1 Ta 0.0000 0.0000 0.0000 (multiplicity 4)
2 Ni 0.0000 0.0019 0.2868 (multiplicity 8)
3 Ni 0.2500 0.2491 0.7500 (multiplicity 8)
4 Ir 0.1852 0.0000 0.5000 (multiplicity 8)

Principal peaks in the range 2θ from 15° to 90°, by angle:
19.99°, I = 44.7, hkl 0 0 2
37.32°, I = 31.6, hkl 0 2 0
37.81°, I = 100.0, hkl 3 1 1
40.62°, I = 47.3, hkl 0 0 4
42.69°, I = 45.8, hkl 0 2 2
47.85°, I = 21.2, hkl 2 2 2
47.97°, I = 76.5, hkl 3 1 3
67.63°, I = 18.7, hkl 3 3 1
74.93°, I = 20.4, hkl 3 3 3
86.15°, I = 16.6, hkl 3 1 7



Record 3
Diffraction record for Pr2Y3Er3. The X-ray diffraction stick pattern is simulated, not measured: it uses the GGA-PBE geometry in Alexandria and copper Kα.

Cell lengths 5.0811, 5.0822, 20.1905 Å; angles 90.00, 90.00, 90.00 degrees
Space group Immm (No. 71)
One atom of each set of equivalent atoms:
1 Pr 0.0000 0.0000 0.2499 (multiplicity 4)
2 Y 0.0000 0.0000 0.0000 (multiplicity 2)
3 Y 0.0000 0.5000 0.1227 (multiplicity 4)
4 Er 0.0000 0.0000 0.5000 (multiplicity 2)
5 Er 0.0000 0.5000 0.3772 (multiplicity 4)

Principal peaks in the range 2θ from 15° to 90°, by angle:
30.54°, I = 100.0, hkl 1 1 4
35.33°, I = 33.9, hkl 2 0 0
35.57°, I = 16.5, hkl 0 0 8
50.82°, I = 12.0, hkl 2 2 0
51.00°, I = 23.6, hkl 2 0 8
60.46°, I = 28.3, hkl 3 1 4
60.79°, I = 13.8, hkl 1 1 12
63.57°, I = 12.1, hkl 2 2 8
82.83°, I = 5.8, hkl 3 3 4
83.12°, I = 11.4, hkl 3 1 12



Record 4
Diffraction record for Ba2PbI6. The X-ray diffraction stick pattern is simulated, not measured: it uses the GGA-PBE geometry in Alexandria and copper Kα.

Cell lengths 8.6628, 8.6628, 22.9734 Å; angles 90.00, 90.00, 120.00 degrees
Space group R-3 (No. 148, hexagonal axes)
One atom of each set of equivalent atoms:
1 Ba 0.0000 0.0000 0.1940 (multiplicity 6)
2 Pb 0.0000 0.0000 0.0000 (multiplicity 3)
3 I 0.0235 0.3872 0.7547 (multiplicity 18)

Principal peaks in the range 2θ from 15° to 90°, by angle:
22.69°, I = 22.5, hkl 0 1 5
23.60°, I = 100.0, hkl 2 -1 3
28.42°, I = 21.7, hkl 0 2 4
30.77°, I = 23.3, hkl 2 0 5
31.18°, I = 65.5, hkl 1 1 6
35.91°, I = 50.9, hkl 3 0 0
37.26°, I = 29.6, hkl 3 -2 5
41.06°, I = 32.8, hkl 1 1 9
55.72°, I = 16.0, hkl 3 2 4
64.54°, I = 15.3, hkl 2 -1 15